KRb2Zr3S8: calculated powder diffraction line list (a wavelength of 1.5418 Å), based on a PBE-relaxed structure.

Principal peaks in the range 10 to 90 degrees two-theta, in order of rising 2θ:
hkl 0 0 3, 8.024 Å, I 62
hkl 1 1 3, 3.466 Å, I 100
hkl 0 2 4, 2.912 Å, I 78
hkl 0 2 7, 2.391 Å, I 61
hkl 2 0 8, 2.231 Å, I 70
hkl 2 2 0, 1.921 Å, I 56

abc: 7.6852 7.6852 24.0716
angles: 90.00 90.00 120.00
Space group R3m (No. 160, hexagonal axes)
Unique sites:
K (0.0000, 0.0000, 0.0000) (multiplicity 3)
Rb (0.0000, 0.0000, 0.2801) (multiplicity 3)
Rb (0.0000, 0.0000, 0.6379) (multiplicity 3)
Zr (0.9998, 0.4999, 0.1382) (multiplicity 9)
S (0.0000, 0.0000, 0.4118) (multiplicity 3)
S (0.0000, 0.0000, 0.8663) (multiplicity 3)
S (0.0244, 0.5122, 0.4128) (multiplicity 9)
S (0.1793, 0.3587, 0.1961) (multiplicity 9)


Ba3Sn4Pb2: calculated powder diffraction line list (a wavelength of 1.5418 Å), based on a PBE-relaxed structure.

Principal peaks in the range 10 to 90 degrees two-theta, in order of rising 2θ:
hkl 0 0 3, 3.337 Å, I 100
hkl 2 -1 0, 2.418 Å, I 44
hkl 1 1 3, 2.305 Å, I 32
hkl 2 -1 3, 1.958 Å, I 23
hkl 3 0 0, 1.522 Å, I 20
hkl 3 0 3, 1.373 Å, I 13

abc: 4.838 7.337 10.035
angles: 93.53 90.04 109.25
Space group P-1 (No. 2)
Unique sites:
Ba (0.000, 0.000, 0.000) (multiplicity 1)
Ba (0.339, 0.678, 0.328) (multiplicity 2)
Sn (0.021, 0.043, 0.356) (multiplicity 2)
Sn (0.312, 0.623, 0.979) (multiplicity 2)
Pb (0.349, 0.697, 0.681) (multiplicity 2)